[1]
Starting from the PBE geometry in Alexandria, the XRD peak list of Pm3NdGe2 was calculated for a wavelength of 1.5418 Å.
Kinematic intensities with the Lorentz-polarization factor, no thermal factor.

Most intense lines, 10° ≤ 2θ ≤ 90°, in order of rising 2θ:
d_spacing, 2θ/deg, Rel. int.
3.060, 29.19, 24
2.964, 30.15, 100
2.792, 32.06, 33
2.527, 35.52, 62
2.241, 40.24, 49
1.747, 52.36, 50
1.397, 66.97, 22
1.342, 70.10, 19

Structure:
Cell lengths 4.4821, 4.4821, 8.3748 Å; angles 90.00, 90.00, 90.00 degrees
Fractional positions:
Pm (0.0000, 0.0000, 0.0000)
Pm (0.0000, 0.5000, 0.6414)
Pm (0.5000, 0.0000, 0.3586)
Nd (0.5000, 0.5000, 0.0000)
Ge (0.0000, 0.5000, 0.2785)
Ge (0.5000, 0.0000, 0.7215)

[2]
Starting from the PBE geometry in Alexandria, the XRD peak list of Hf2Zr5Sc3 was calculated for a wavelength of 1.5418 Å.
Kinematic intensities with the Lorentz-polarization factor, no thermal factor.

Most intense lines, 10° ≤ 2θ ≤ 90°, in order of rising 2θ:
d_spacing, 2θ/deg, Rel. int.
6.814, 12.99, 40
2.639, 33.97, 90
2.625, 34.16, 64
2.603, 34.46, 100
2.554, 35.14, 36
2.539, 35.35, 34
2.314, 38.92, 46
2.236, 40.34, 25

Structure:
Cell lengths 8.4117, 8.4322, 8.5452 Å; angles 106.95, 107.64, 113.33 degrees
Fractional positions:
Hf (0.0330, 0.2177, 0.0444)
Hf (0.3357, 0.0127, 0.5475)
Hf (0.6643, 0.9873, 0.4525)
Hf (0.9670, 0.7823, 0.9556)
Zr (0.1255, 0.3789, 0.7552)
Zr (0.1768, 0.7221, 0.7017)
Zr (0.2195, 0.6726, 0.1880)
Zr (0.3728, 0.1176, 0.2499)
Zr (0.4774, 0.5244, 0.1978)
Zr (0.5226, 0.4756, 0.8022)
Zr (0.6272, 0.8824, 0.7501)
Zr (0.7805, 0.3274, 0.8120)
Zr (0.8232, 0.2779, 0.2983)
Zr (0.8745, 0.6211, 0.2448)
Sc (0.0089, 0.9640, 0.6811)
Sc (0.2813, 0.4816, 0.4528)
Sc (0.4665, 0.1701, 0.9500)
Sc (0.5335, 0.8299, 0.0500)
Sc (0.7187, 0.5184, 0.5472)
Sc (0.9911, 0.0360, 0.3189)

[3]
Starting from the PBE geometry in Alexandria, the XRD peak list of U3Ga2Si3 was calculated for a wavelength of 1.5418 Å.
Kinematic intensities with the Lorentz-polarization factor, no thermal factor.

Most intense lines, 10° ≤ 2θ ≤ 90°, in order of rising 2θ:
d_spacing, 2θ/deg, Rel. int.
5.259, 16.86, 34
5.114, 17.34, 63
3.304, 26.98, 31
3.178, 28.08, 37
2.455, 36.60, 53
2.439, 36.85, 100
2.387, 37.68, 76
2.376, 37.86, 33

Structure:
Cell lengths 7.5483, 7.3353, 7.6473 Å; angles 60.46, 57.72, 61.82 degrees
Fractional positions:
U (0.0439, 0.7276, 0.9561)
U (0.1493, 0.8507, 0.1493)
U (0.2193, 0.5186, 0.4814)
U (0.5186, 0.2193, 0.7807)
U (0.7276, 0.0439, 0.2724)
U (0.8507, 0.1493, 0.8507)
Ga (0.2089, 0.2089, 0.2911)
Ga (0.4453, 0.7179, 0.5547)
Ga (0.7089, 0.7089, 0.7911)
Ga (0.7179, 0.4453, 0.2821)
Si (0.0375, 0.3271, 0.9625)
Si (0.3271, 0.0375, 0.6729)
Si (0.4596, 0.4596, 0.0404)
Si (0.5373, 0.8497, 0.1503)
Si (0.8497, 0.5373, 0.4627)
Si (0.9596, 0.9596, 0.5404)

[4]
Starting from the PBE geometry in Alexandria, the XRD peak list of SrAc2InRh was calculated for a wavelength of 1.5418 Å.
Kinematic intensities with the Lorentz-polarization factor, no thermal factor.

Most intense lines, 10° ≤ 2θ ≤ 90°, in order of rising 2θ:
d_spacing, 2θ/deg, Rel. int.
5.787, 15.31, 37
3.311, 26.92, 100
2.894, 30.90, 34
2.855, 31.33, 66
2.032, 44.58, 51
2.019, 44.90, 25
1.724, 53.13, 32
1.656, 55.50, 27

Structure:
Cell lengths 5.7103, 5.7103, 5.7872 Å; angles 90.00, 90.00, 90.00 degrees
Fractional positions:
Sr (0.0000, 0.0000, 0.0000)
Ac (0.0000, 0.5000, 0.4994)
Ac (0.5000, 0.0000, 0.4994)
In (0.5000, 0.5000, 0.0018)
Rh (0.0000, 0.0000, 0.5002)